This entry pairs a crystal structure of WBrCl3O with its theoretical PXRD pattern. Radiation: Cu Ka. Structure: a structure optimized by DFT (GGA+U).
No peak broadening, texture or thermal motion is included.

Crystal structure
Cell lengths 3.8676, 7.1075, 7.1751 Å; angles 85.59, 74.47, 74.30 degrees
Fractional coordinates of all 6 atoms:
W1 0.0000 0.0000 0.0000
Br1 0.9069 0.8090 0.3062
Cl1 0.0179 0.1791 0.7133
Cl2 0.1951 0.7111 0.8247
Cl3 0.7336 0.2882 0.1760
O1 0.4757 0.9999 0.9998

The 12 most intense peaks (5 to 70 degrees two-theta), low angle first:
2θ (°), d [Å], intensity
12.81, 6.913, 66.2
12.94, 6.842, 86.0
18.22, 4.868, 49.5
24.77, 3.594, 100.0
29.03, 3.076, 44.2
30.98, 2.887, 13.3
36.10, 2.488, 11.1
37.06, 2.426, 13.2
44.98, 2.015, 18.1
45.05, 2.013, 17.5
48.93, 1.862, 10.3
56.16, 1.638, 10.7